[1]
This entry pairs a crystal structure of MgSi2 with its calculated powder XRD pattern. Radiation: λ = 1.5418 Å (Cu Kα). Structure: DFT lattice parameters and positions (GGA-PBE).
Intensities are scaled so that the largest is 100.

Most intense lines, 5° ≤ 2θ ≤ 70°, in order of rising 2θ:
hkl  2θ/deg  d (Å)  intensity
1 2 0  37.3  2.408  25
2 0 0  37.8  2.382  66
1 -1 2  38.0  2.371  100
-1 2 2  39.0  2.310  60
1 1 3  39.2  2.296  22
1 1 -2  39.3  2.292  27

Cell and atoms:
```
data_MgSi2
_chemical_formula_sum 'Mg4 Si8'
_cell_length_a 4.7712
_cell_length_b 5.9345
_cell_length_c 7.6956
_cell_angle_alpha 70.84
_cell_angle_beta 87.11
_cell_angle_gamma 89.44
_space_group_name_H-M_alt 'P 1'
_space_group_IT_number 1
loop_
_space_group_symop_operation_xyz
'x,y,z'
loop_
_atom_site_label
_atom_site_type_symbol
_atom_site_fract_x
_atom_site_fract_y
_atom_site_fract_z
Mg1 Mg 0.0000 0.0000 0.0000
Mg2 Mg 0.0105 0.9889 0.6288
Mg3 Mg 0.0640 0.3799 0.2462
Mg4 Mg 0.5050 0.6638 0.6677
Si1 Si 0.0176 0.4596 0.5876
Si2 Si 0.1466 0.8227 0.3449
Si3 Si 0.5093 0.0289 0.8247
Si4 Si 0.5162 0.3148 0.0100
Si5 Si 0.5454 0.3289 0.4839
Si6 Si 0.5466 0.6702 0.1533
Si7 Si 0.6223 0.0139 0.3141
Si8 Si 0.9708 0.5279 0.8837
```


[2]
This entry pairs a crystal structure of Li2TiB2O6 with its calculated powder XRD pattern. Radiation: λ = 1.5418 Å (Cu Kα). Structure: DFT lattice parameters and positions (GGA-PBE).
Intensities are scaled so that the largest is 100.

Most intense lines, 5° ≤ 2θ ≤ 70°, in order of rising 2θ:
hkl  2θ/deg  d (Å)  intensity
0 1 0  13.7  6.452  100
1 0 0  17.8  4.987  58
0 1 -1  20.9  4.244  44
0 1 2  22.8  3.905  80
-1 1 1  23.4  3.795  71
0 2 2  29.6  3.021  79

Cell and atoms:
```
data_Li2TiB2O6
_chemical_formula_sum 'Li4 Ti2 B4 O12'
_cell_length_a 4.9923
_cell_length_b 6.8714
_cell_length_c 8.0751
_cell_angle_alpha 69.88
_cell_angle_beta 87.52
_cell_angle_gamma 89.56
_space_group_name_H-M_alt 'P -1'
_space_group_IT_number 2
loop_
_space_group_symop_operation_xyz
'x,y,z'
'-x,-y,-z'
loop_
_atom_site_label
_atom_site_type_symbol
_atom_site_fract_x
_atom_site_fract_y
_atom_site_fract_z
Li1 Li 0.1281 0.2756 0.1019
Li2 Li 0.3267 0.4216 0.4002
Ti1 Ti 0.3776 0.0897 0.7502
B1 B 0.1734 0.8455 0.3868
B2 B 0.3548 0.6905 0.0524
O1 O 0.1002 0.1873 0.5906
O2 O 0.2430 0.8291 0.8995
O3 O 0.2453 0.5113 0.1518
O4 O 0.2850 0.0358 0.2818
O5 O 0.3661 0.6970 0.4453
O6 O 0.4009 0.2337 0.9011
```


[3]
This entry pairs a crystal structure of K2PtC4I2N4 with its calculated powder XRD pattern. Radiation: λ = 1.5418 Å (Cu Kα). Structure: DFT lattice parameters and positions (GGA-PBE).
Intensities are scaled so that the largest is 100.

Most intense lines, 5° ≤ 2θ ≤ 70°, in order of rising 2θ:
hkl  2θ/deg  d (Å)  intensity
1 0 0  12.5  7.074  89
0 1 1  13.9  6.393  44
1 1 -1  16.5  5.378  37
1 0 -2  20.6  4.314  100
1 1 2  28.9  3.090  49
0 3 1  30.0  2.975  36

Cell and atoms:
```
data_K2PtC4I2N4
_chemical_formula_sum 'K4 Pt2 C8 I4 N8'
_cell_length_a 7.4200
_cell_length_b 9.5065
_cell_length_c 9.0605
_cell_angle_alpha 90.00
_cell_angle_beta 107.56
_cell_angle_gamma 90.00
_space_group_name_H-M_alt 'P 1 21/c 1'
_space_group_IT_number 14
loop_
_space_group_symop_operation_xyz
'x,y,z'
'-x,-y,-z'
'-x,y+1/2,-z+1/2'
'x,-y+1/2,z+1/2'
loop_
_atom_site_label
_atom_site_type_symbol
_atom_site_fract_x
_atom_site_fract_y
_atom_site_fract_z
K1 K 0.0306 0.2070 0.3828
Pt1 Pt 0.5000 0.0000 0.0000
C1 C 0.3021 0.0394 0.1060
C2 C 0.3035 0.0421 0.7969
I1 I 0.3948 0.7242 0.9680
N1 N 0.1833 0.0662 0.1623
N2 N 0.1832 0.0667 0.6820
```


[4]
This entry pairs a crystal structure of Pr2SiTeO4 with its calculated powder XRD pattern. Radiation: λ = 1.5418 Å (Cu Kα). Structure: DFT lattice parameters and positions (GGA-PBE).
Intensities are scaled so that the largest is 100.

Most intense lines, 5° ≤ 2θ ≤ 70°, in order of rising 2θ:
hkl  2θ/deg  d (Å)  intensity
2 0 -2  25.8  3.448  100
0 2 0  27.3  3.263  64
2 0 2  28.1  3.173  73
0 2 1  29.2  3.059  63
2 1 2  31.4  2.853  64
4 0 0  36.0  2.496  44

Cell and atoms:
```
data_Pr2SiTeO4
_chemical_formula_sum 'Pr8 Si4 Te4 O16'
_cell_length_a 10.0181
_cell_length_b 6.5255
_cell_length_c 8.8359
_cell_angle_alpha 90.00
_cell_angle_beta 94.80
_cell_angle_gamma 90.00
_space_group_name_H-M_alt 'P 1 21/c 1'
_space_group_IT_number 14
loop_
_space_group_symop_operation_xyz
'x,y,z'
'-x,-y,-z'
'-x,y+1/2,-z+1/2'
'x,-y+1/2,z+1/2'
loop_
_atom_site_label
_atom_site_type_symbol
_atom_site_fract_x
_atom_site_fract_y
_atom_site_fract_z
Pr1 Pr 0.1051 0.1521 0.1940
Pr2 Pr 0.3474 0.6953 0.3346
Si1 Si 0.1262 0.6903 0.0565
Te1 Te 0.4061 0.2129 0.3842
O1 O 0.0171 0.1935 0.9216
O2 O 0.1261 0.6333 0.8761
O3 O 0.1556 0.5103 0.1828
O4 O 0.2490 0.6413 0.5902
```


[5]
This entry pairs a crystal structure of CuSnF6 with its calculated powder XRD pattern. Radiation: λ = 1.5418 Å (Cu Kα). Structure: DFT lattice parameters and positions (GGA-PBE).
Intensities are scaled so that the largest is 100.

Most intense lines, 5° ≤ 2θ ≤ 70°, in order of rising 2θ:
hkl  2θ/deg  d (Å)  intensity
0 1 2  23.2  3.842  100
1 0 4  32.1  2.785  28
1 1 0  33.8  2.653  16
0 2 4  47.3  1.921  19
2 -1 6  52.2  1.752  28
3 -2 2  54.4  1.686  16

Cell and atoms:
```
data_CuSnF6
_chemical_formula_sum 'Cu3 Sn3 F18'
_cell_length_a 5.3069
_cell_length_b 5.3069
_cell_length_c 14.0016
_cell_angle_alpha 90.00
_cell_angle_beta 90.00
_cell_angle_gamma 120.00
_space_group_name_H-M_alt 'R -3'
_space_group_IT_number 148
_space_group_name_Hall '-R 3'
loop_
_atom_site_label
_atom_site_type_symbol
_atom_site_fract_x
_atom_site_fract_y
_atom_site_fract_z
Cu1 Cu 0.0000 0.0000 0.0000
Sn1 Sn 0.0000 0.0000 0.5000
F1 F 0.0012 0.3867 0.2493
```